Structure and calculated powder diffraction line list of Pm5Dy4Ho (DFT lattice parameters and positions (GGA-PBE); Cu Kα (weighted mean of Kα1 and Kα2)).
Intensities are scaled so that the largest is 1000.

Atomic structure:
```
data_Pm5Dy4Ho
_symmetry_space_group_name_H-M 'C 1 2/m 1'
_symmetry_Int_Tables_number 12
_cell_length_a 18.1802
_cell_length_b 3.5895
_cell_length_c 10.4494
_cell_angle_alpha 90.00
_cell_angle_beta 96.15
_cell_angle_gamma 90.00
loop_
_symmetry_equiv_pos_as_xyz
'x,y,z'
'-x,-y,-z'
'-x,y,-z'
'x,-y,z'
'x+1/2,y+1/2,z'
'-x+1/2,-y+1/2,-z'
'-x+1/2,y+1/2,-z'
'x+1/2,-y+1/2,z'
loop_
_atom_site_label
_atom_site_type_symbol
_atom_site_fract_x
_atom_site_fract_y
_atom_site_fract_z
Pm1 Pm 0.0000 0.0000 0.0000
Pm2 Pm 0.1423 0.5000 0.7305
Pm3 Pm 0.1889 0.5000 0.0961
Dy1 Dy 0.0451 0.5000 0.2625
Dy2 Dy 0.1825 0.0000 0.4127
Ho1 Ho 0.0000 0.0000 0.5000
```

Main lines, sorted by position (2θ = 10–90°):
d 3.013, I = 246, hkl 6 0 0
d 2.913, I = 161, hkl 3 1 1
d 2.903, I = 319, hkl 4 0 -3
d 2.887, I = 1000, hkl 1 1 2
d 2.814, I = 186, hkl 6 0 1
d 2.617, I = 171, hkl 4 0 3
d 2.518, I = 452, hkl 5 1 -1
d 1.888, I = 166, hkl 7 1 2
d 1.795, I = 158, hkl 0 2 0
d 1.768, I = 156, hkl 10 0 -2